This entry pairs a crystal structure of GaCu2Si with its calculated XRD peak list. Radiation: Cu Kα (λ = 1.5418 Å). Structure: the GGA-PBE geometry in OQMD.

abc: 6.033 6.033 6.033
angles: 90.00 90.00 90.00
Space group Pm-3m (No. 221)
Unique sites:
1 Ga 0.000 0.000 0.000 [1 per cell]
2 Ga 0.000 0.000 0.500 [3 per cell]
3 Cu 0.258 0.258 0.258 [8 per cell]
4 Si 0.000 0.500 0.500 [3 per cell]
5 Si 0.500 0.500 0.500 [1 per cell]

Principal peaks in the range 10 to 80 degrees two-theta, in order of rising 2θ:
(1 0 0), 2θ 14.7, I 2
(1 1 1), 2θ 25.6, I 2
(2 0 0), 2θ 29.6, I 3
(2 1 0), 2θ 33.2, I 6
(2 2 0), 2θ 42.4, I 100
(3 0 0), 2θ 45.1, I 2
(3 1 1), 2θ 50.2, I 1
(4 0 0), 2θ 61.5, I 15
(3 2 2), 2θ 63.6, I 2
(4 2 1), 2θ 71.7, I 1
(4 2 2), 2θ 77.5, I 30
(4 3 0), 2θ 79.4, I 1

This entry pairs a crystal structure of HoSnB4 with its calculated XRD peak list. Radiation: Cu Kα (λ = 1.5418 Å). Structure: the GGA-PBE geometry in OQMD.

abc: 3.2247 3.2247 8.1705
angles: 90.00 90.00 120.00
Space group P6/mmm (No. 191)
Unique sites:
1 Ho 0.0000 0.0000 0.0000 [1 per cell]
2 Sn 0.0000 0.0000 0.5000 [1 per cell]
3 B 0.3333 0.6667 0.2312 [4 per cell]

Principal peaks in the range 10 to 80 degrees two-theta, in order of rising 2θ:
(0 0 1), 2θ 10.8, I 9
(0 0 2), 2θ 21.8, I 50
(1 0 0), 2θ 32.0, I 68
(1 0 2), 2θ 39.1, I 100
(0 0 4), 2θ 44.3, I 13
(1 0 4), 2θ 55.8, I 30
(1 1 0), 2θ 57.1, I 18
(1 1 2), 2θ 61.9, I 20
(2 0 0), 2θ 67.0, I 9
(2 0 2), 2θ 71.4, I 17
(1 1 4), 2θ 75.1, I 16
(1 0 6), 2θ 78.1, I 13